Entry 1:
Starting from a crystal structure in Alexandria, relaxed with PBE, the PXRD pattern of LiTi2CI was computed for λ = 1.5418 Å (Cu Kα).

Cell and atoms:
```
5
Lattice="4.0662 0.0000 0.0000 0.0000 4.0662 0.0000 0.0000 0.0000 7.0081" Properties=species:S:1:pos:R:3 pbc="T T T"
Li 0.0000 0.0000 0.0000
Ti 0.0000 2.0331 3.5040
Ti 2.0331 0.0000 3.5040
C 2.0331 2.0331 3.5040
I 2.0331 2.0331 0.0000
```

Main lines, in order of rising 2θ (10° ≤ 2θ ≤ 80°):
- 21.86°, rel. 422
- 25.38°, rel. 866
- 33.71°, rel. 1000
- 44.57°, rel. 194
- 50.33°, rel. 226
- 51.99°, rel. 352
- 70.84°, rel. 113
- 75.12°, rel. 157

Entry 2:
Starting from a crystal structure in Alexandria, relaxed with PBE, the PXRD pattern of P2N3 was computed for λ = 1.5418 Å (Cu Kα).

Cell and atoms:
```
10
Lattice="2.5763 -4.4618 0.0000 2.5763 4.4618 0.0000 -0.3457 0.0000 4.9459" Properties=species:S:1:pos:R:3 pbc="T T T"
P 2.4035 3.6839 2.4730
P 2.1950 2.1802 4.8785
P 2.3679 -2.1802 2.4055
P 2.5763 -3.6839 0.0000
N 1.3161 2.6099 3.0710
N 2.1959 3.7499 0.7659
N 1.4738 1.1125 0.4695
N 1.3010 -1.1125 2.9425
N 1.4890 -2.6099 0.5980
N 2.0231 -3.7499 3.2389
```

Main lines, in order of rising 2θ (10° ≤ 2θ ≤ 80°):
- 19.93°, rel. 1000
- 26.10°, rel. 120
- 26.91°, rel. 478
- 34.91°, rel. 212
- 36.33°, rel. 305
- 38.87°, rel. 534
- 40.04°, rel. 111
- 66.24°, rel. 139